Simulated powder diffractogram
Compound: In2GaPd2
Radiation: Cu Kα, 1.54184 Å
Structure: a PBE-relaxed structure
Peak positions follow from Bragg's law for the DFT cell and can differ from measured ones.

Atomic structure:
Lattice parameters (Å, degrees): 8.0273 8.0273 3.0379 90.00 90.00 90.00
Space group P4/mbm (No. 127)
Inequivalent atoms, fractional coordinates:
In (0.1565, 0.3435, 0.0000)
Ga (0.0000, 0.0000, 0.0000)
Pd (0.1390, 0.6390, 0.5000)

Main lines, sorted by position (10 to 90 degrees two-theta):
two_theta	d/Å	Rel. int.	index
15.61	5.676	16.2	1 1 0
35.36	2.538	57.1	3 1 0
38.83	2.319	100.0	2 1 1
45.18	2.007	11.8	4 0 0
48.09	1.892	11.2	3 3 0
50.86	1.795	14.0	4 2 0
56.11	1.639	10.8	4 1 1
70.35	1.338	30.5	5 2 1
72.52	1.303	13.3	3 1 2
79.10	1.211	9.2	4 0 2